Starting from a DFT-relaxed cell (PBE, the Materials Project), the XRD peak list of Na2TmPCO7 was calculated for Cu Kα (weighted mean of Kα1 and Kα2).

Structure:
Cell lengths 5.3328, 6.9362, 9.1933 Å; angles 90.00, 91.07, 90.00 degrees
Positions (direct):
Na1 0.2341 0.0044 0.2237
Na2 0.2341 0.4956 0.2237
Na3 0.7659 0.5044 0.7763
Na4 0.7659 0.9956 0.7763
Tm1 0.2270 0.2500 0.6413
Tm2 0.7730 0.7500 0.3587
P1 0.2909 0.7500 0.5811
P2 0.7091 0.2500 0.4189
C1 0.2688 0.2500 0.9328
C2 0.7312 0.7500 0.0672
O1 0.0490 0.2500 0.8642
O2 0.1820 0.7500 0.4207
O3 0.2031 0.5666 0.6602
O4 0.2031 0.9334 0.6602
O5 0.2922 0.2500 0.0687
O6 0.4164 0.2500 0.4282
O7 0.4649 0.2500 0.8445
O8 0.5351 0.7500 0.1555
O9 0.5836 0.7500 0.5718
O10 0.7078 0.7500 0.9313
O11 0.7969 0.0666 0.3398
O12 0.7969 0.4334 0.3398
O13 0.8180 0.2500 0.5793
O14 0.9510 0.7500 0.1358

Top 10 peaks for 2θ = 10–90°, low angle first:
d (Å)  Rel. int.
5.537  100
4.650  34
4.227  78
3.828  32
3.514  37
3.468  53
3.449  55
2.780  33
2.764  36
2.666  35

Starting from a DFT-relaxed cell (PBE, the Materials Project), the XRD peak list of Te2Mo3WS6 was calculated for Cu Kα (weighted mean of Kα1 and Kα2).

Structure:
Cell lengths 3.2733, 3.2733, 37.1217 Å; angles 90.00, 90.00, 120.00 degrees
Positions (direct):
Te1 0.0000 0.0000 0.0000
Te2 0.0000 0.0000 0.1038
Mo1 0.0000 0.0000 0.4882
Mo2 0.0000 0.0000 0.8640
Mo3 0.3333 0.6667 0.0519
W1 0.3333 0.6667 0.6761
S1 0.0000 0.0000 0.6345
S2 0.0000 0.0000 0.7178
S3 0.3333 0.6667 0.4469
S4 0.3333 0.6667 0.5297
S5 0.3333 0.6667 0.8226
S6 0.3333 0.6667 0.9054

Top 10 peaks for 2θ = 10–90°, low angle first:
d (Å)  Rel. int.
7.424  100
6.187  29
2.832  41
2.802  13
2.648  15
2.419  76
2.253  14
2.012  36
1.936  13
1.636  23

Starting from a DFT-relaxed cell (PBE, the Materials Project), the XRD peak list of K2CdSnSe4 was calculated for Cu Kα (weighted mean of Kα1 and Kα2).

Structure:
Cell lengths 6.8420, 6.8420, 6.8420 Å; angles 105.53, 105.53, 117.69 degrees
Positions (direct):
K1 0.0000 0.5000 0.5000
K2 0.5000 0.0000 0.5000
Cd1 0.0000 0.0000 0.0000
Sn1 0.5000 0.5000 0.0000
Se1 0.0970 0.4355 0.0000
Se2 0.4355 0.0970 0.0000
Se3 0.5645 0.5645 0.6615
Se4 0.9030 0.9030 0.3385

Top 10 peaks for 2θ = 10–90°, low angle first:
d (Å)  Rel. int.
5.855  74
3.281  82
2.928  45
2.691  100
2.105  40
1.990  18
1.952  19
1.932  20
1.852  21
1.787  26

Starting from a DFT-relaxed cell (PBE, the Materials Project), the XRD peak list of ZrGa2Co was calculated for Cu Kα (weighted mean of Kα1 and Kα2).

Structure:
Cell lengths 9.6265, 9.6265, 9.6265 Å; angles 100.37, 100.37, 129.78 degrees
Positions (direct):
Zr1 0.0000 0.0000 0.0000
Zr2 0.0788 0.0788 0.4024
Zr3 0.0788 0.6764 0.0000
Zr4 0.1060 0.3888 0.7172
Zr5 0.3888 0.1060 0.7172
Zr6 0.3888 0.6716 0.2828
Zr7 0.4582 0.4582 0.0000
Zr8 0.6716 0.3888 0.2828
Zr9 0.6764 0.0788 0.0000
Zr10 0.6764 0.6764 0.5976
Ga1 0.0904 0.0904 0.7340
Ga2 0.0904 0.3564 0.0000
Ga3 0.2474 0.8647 0.3827
Ga4 0.2673 0.4788 0.4929
Ga5 0.2673 0.7744 0.7885
Ga6 0.3564 0.0904 0.0000
Ga7 0.3564 0.3564 0.2660
Ga8 0.4788 0.2673 0.4929
Ga9 0.4788 0.9859 0.2115
Ga10 0.4821 0.8647 0.6173
Ga11 0.5543 0.7160 0.8383
Ga12 0.7160 0.5543 0.8383
Ga13 0.7160 0.8777 0.1617
Ga14 0.7744 0.2673 0.7885
Ga15 0.7744 0.9859 0.5071
Ga16 0.8647 0.2474 0.3827
Ga17 0.8647 0.4821 0.6173
Ga18 0.8777 0.7160 0.1617
Ga19 0.9859 0.4788 0.2115
Ga20 0.9859 0.7744 0.5071
Co1 0.0283 0.2446 0.2163
Co2 0.0283 0.8120 0.7837
Co3 0.1154 0.6154 0.5000
Co4 0.2446 0.0283 0.2163
Co5 0.3718 0.3718 0.6759
Co6 0.3718 0.6959 0.0000
Co7 0.6154 0.1154 0.5000
Co8 0.6959 0.3718 0.0000
Co9 0.6959 0.6959 0.3241
Co10 0.8120 0.0283 0.7837

Top 10 peaks for 2θ = 10–90°, low angle first:
d (Å)  Rel. int.
2.460  64
2.368  88
2.360  100
2.285  27
2.270  40
2.179  25
2.130  53
2.055  48
2.013  31
1.989  32

Starting from a DFT-relaxed cell (PBE, the Materials Project), the XRD peak list of BCl2 was calculated for Cu Kα (weighted mean of Kα1 and Kα2).

Structure:
Cell lengths 6.7102, 8.4557, 12.7798 Å; angles 90.00, 90.00, 90.00 degrees
Positions (direct):
B1 0.1058 0.0533 0.0139
B2 0.1058 0.4467 0.5139
B3 0.3942 0.5533 0.0139
B4 0.3942 0.9467 0.5139
B5 0.6058 0.0533 0.4861
B6 0.6058 0.4467 0.9861
B7 0.8942 0.5533 0.4861
B8 0.8942 0.9467 0.9861
Cl1 0.2125 0.0495 0.1384
Cl2 0.2125 0.4505 0.6384
Cl3 0.2205 0.1677 0.9166
Cl4 0.2205 0.3323 0.4166
Cl5 0.2795 0.6677 0.9166
Cl6 0.2795 0.8323 0.4166
Cl7 0.2875 0.5495 0.1384
Cl8 0.2875 0.9505 0.6384
Cl9 0.7125 0.0495 0.3616
Cl10 0.7125 0.4505 0.8616
Cl11 0.7205 0.1677 0.5834
Cl12 0.7205 0.3323 0.0834
Cl13 0.7795 0.6677 0.5834
Cl14 0.7795 0.8323 0.0834
Cl15 0.7875 0.5495 0.3616
Cl16 0.7875 0.9505 0.8616

Top 10 peaks for 2θ = 10–90°, low angle first:
d (Å)  Rel. int.
6.390  31
4.861  31
3.445  100
3.355  51
3.195  21
3.121  88
2.885  26
2.314  19
2.131  11
1.832  16

Starting from a DFT-relaxed cell (PBE, the Materials Project), the XRD peak list of LiTiP4O12 was calculated for Cu Kα (weighted mean of Kα1 and Kα2).

Structure:
Cell lengths 5.1550, 13.8271, 7.1329 Å; angles 90.00, 94.60, 90.00 degrees
Positions (direct):
Li1 0.0758 0.0000 0.1164
Li2 0.9242 0.5000 0.8836
Ti1 0.0092 0.2234 0.5123
Ti2 0.9908 0.7234 0.4877
P1 0.2784 0.8086 0.8879
P2 0.3610 0.1588 0.9083
P3 0.4644 0.5827 0.4453
P4 0.4845 0.3647 0.4566
P5 0.5155 0.8647 0.5434
P6 0.5356 0.0827 0.5547
P7 0.6390 0.6588 0.0917
P8 0.7216 0.3086 0.1121
O1 0.1131 0.7401 0.7630
O2 0.1299 0.1974 0.7864
O3 0.1474 0.8887 0.9824
O4 0.1913 0.5901 0.5036
O5 0.2099 0.3544 0.5111
O6 0.3084 0.8060 0.4363
O7 0.3112 0.1014 0.0778
O8 0.3337 0.1487 0.4620
O9 0.4267 0.9755 0.5124
O10 0.4479 0.7488 0.0463
O11 0.4596 0.5930 0.2204
O12 0.4908 0.3497 0.2342
O13 0.5092 0.8497 0.7658
O14 0.5404 0.0930 0.7796
O15 0.5521 0.2488 0.9537
O16 0.5733 0.4755 0.4876
O17 0.6663 0.6487 0.5380
O18 0.6888 0.6014 0.9222
O19 0.6916 0.3060 0.5637
O20 0.7901 0.8544 0.4889
O21 0.8087 0.0901 0.4964
O22 0.8526 0.3887 0.0176
O23 0.8701 0.6974 0.2136
O24 0.8869 0.2401 0.2370

Top 10 peaks for 2θ = 10–90°, low angle first:
d (Å)  Rel. int.
7.110  58
6.914  100
6.323  34
5.138  28
3.859  57
3.671  67
3.555  50
3.472  17
3.431  17
2.868  33

Starting from a DFT-relaxed cell (PBE, the Materials Project), the XRD peak list of Sr3AlO4F was calculated for Cu Kα (weighted mean of Kα1 and Kα2).

Structure:
Cell lengths 7.4213, 7.4213, 7.4213 Å; angles 125.15, 125.15, 81.28 degrees
Positions (direct):
Sr1 0.1687 0.6687 0.8375
Sr2 0.2500 0.2500 0.0000
Sr3 0.3313 0.1687 0.5000
Sr4 0.6687 0.8313 0.5000
Sr5 0.7500 0.7500 0.0000
Sr6 0.8313 0.3313 0.1625
Al1 0.2500 0.7500 0.5000
Al2 0.7500 0.2500 0.5000
O1 0.0058 0.7903 0.5000
O2 0.2097 0.7097 0.2155
O3 0.2903 0.5058 0.5000
O4 0.4942 0.9942 0.7845
O5 0.5058 0.0058 0.2155
O6 0.7097 0.4942 0.5000
O7 0.7903 0.2903 0.7845
O8 0.9942 0.2097 0.5000
F1 0.0000 0.0000 0.0000
F2 0.5000 0.5000 0.0000

Top 10 peaks for 2θ = 10–90°, low angle first:
d (Å)  Rel. int.
3.668  28
2.950  58
2.922  95
2.816  42
2.417  29
2.371  100
2.162  49
1.834  23
1.813  25
1.715  22

Starting from a DFT-relaxed cell (PBE, the Materials Project), the XRD peak list of Ge2Mo was calculated for Cu Kα (weighted mean of Kα1 and Kα2).

Structure:
Cell lengths 6.4045, 3.4858, 8.6467 Å; angles 90.00, 90.00, 90.00 degrees
Positions (direct):
Ge1 0.0609 0.2500 0.1328
Ge2 0.1360 0.2500 0.5409
Ge3 0.3640 0.7500 0.0409
Ge4 0.4391 0.7500 0.6328
Ge5 0.5609 0.2500 0.3672
Ge6 0.6360 0.2500 0.9591
Ge7 0.8640 0.7500 0.4591
Ge8 0.9391 0.7500 0.8672
Mo1 0.2495 0.7500 0.3288
Mo2 0.2505 0.2500 0.8288
Mo3 0.7495 0.7500 0.1712
Mo4 0.7505 0.2500 0.6712

Top 10 peaks for 2θ = 10–90°, low angle first:
d (Å)  Rel. int.
2.628  31
2.499  58
2.358  44
2.275  82
2.099  100
2.071  26
2.048  32
1.914  42
1.743  33
1.289  22

Starting from a DFT-relaxed cell (PBE, the Materials Project), the XRD peak list of K2TbO3 was calculated for Cu Kα (weighted mean of Kα1 and Kα2).

Structure:
Cell lengths 6.5385, 6.5385, 6.1865 Å; angles 90.00, 90.00, 65.16 degrees
Positions (direct):
K1 0.0254 0.3116 0.0000
K2 0.3116 0.0254 0.5000
K3 0.6884 0.9746 0.0000
K4 0.9746 0.6884 0.5000
Tb1 0.3934 0.6066 0.9644
Tb2 0.6066 0.3934 0.4644
O1 0.1016 0.8984 0.8667
O2 0.3433 0.3939 0.2322
O3 0.3939 0.3433 0.7322
O4 0.6061 0.6567 0.2322
O5 0.6567 0.6061 0.7322
O6 0.8984 0.1016 0.3667

Top 10 peaks for 2θ = 10–90°, low angle first:
d (Å)  Rel. int.
5.933  100
5.510  61
4.282  46
3.257  37
3.093  38
3.060  87
2.882  88
2.243  55
2.152  25
1.884  31